# 1
Computed powder X-ray diffraction pattern of RbTcCl4 for Cu Kα X-rays, from a cell relaxed with GGA-PBE.
Intensities are scaled so that the largest is 100.

The 12 most intense peaks (2θ = 10–90°), most intense first:
2θ 13.45, I = 100.0, (1 1 0); 2θ 38.00, I = 75.9, (0 2 2); 2θ 21.69, I = 74.7, (3 1 -1); 2θ 14.84, I = 72.7, (2 0 -1); 2θ 26.97, I = 53.7, (3 1 1); 2θ 32.01, I = 47.6, (2 2 1); 2θ 30.54, I = 42.6, (6 0 -1); 2θ 19.72, I = 39.7, (2 0 1); 2θ 27.09, I = 29.9, (2 0 -2); 2θ 21.52, I = 29.0, (4 0 -1); 2θ 46.20, I = 28.4, (6 2 1); 2θ 49.81, I = 21.9, (8 2 0)

Structural model:
Unit cell a=17.809 b=7.137 c=6.608 alpha=90.00 beta=106.71 gamma=90.00
Space group C2/m (No. 12)
Asymmetric unit:
1 Rb 0.217 0.000 0.239
2 Tc 0.073 0.500 0.261
3 Cl 0.000 0.270 0.000
4 Cl 0.112 0.263 0.510
5 Cl 0.199 0.500 0.152

***

# 2
Computed powder X-ray diffraction pattern of MoPt6Rh23 for Cu Kα X-rays, from a cell relaxed with GGA-PBE.
Intensities are scaled so that the largest is 100.

The 12 most intense peaks (2θ = 10–90°), most intense first:
2θ 40.71, I = 100.0, (2 2 4); 2θ 47.21, I = 32.6, (4 0 0); 2θ 83.30, I = 24.7, (6 2 4); 2θ 69.34, I = 20.3, (4 0 8); 2θ 47.67, I = 15.8, (0 0 8); 2θ 83.98, I = 12.1, (2 2 12); 2θ 88.16, I = 10.9, (4 4 8); 2θ 68.98, I = 10.3, (4 4 0); 2θ 20.03, I = 6.8, (1 1 2); 2θ 16.28, I = 4.1, (1 1 0); 2θ 11.60, I = 4.0, (0 0 2); 2θ 28.57, I = 3.3, (1 1 4)

Structural model:
Unit cell a=7.701 b=7.701 c=15.263 alpha=90.00 beta=90.00 gamma=90.00
Space group I4/mmm (No. 139)
Asymmetric unit:
1 Mo 0.000 0.000 0.000
2 Pt 0.000 0.000 0.250
3 Pt 0.248 0.248 0.000
4 Rh 0.000 0.000 0.500
5 Rh 0.000 0.253 0.373
6 Rh 0.000 0.254 0.127
7 Rh 0.000 0.500 0.000
8 Rh 0.250 0.250 0.250

***

# 3
Computed powder X-ray diffraction pattern of Tl2SiAgSe4 for Cu Kα X-rays, from a cell relaxed with GGA-PBE.
Intensities are scaled so that the largest is 100.

The 12 most intense peaks (2θ = 10–90°), most intense first:
2θ 30.90, I = 100.0, (2 2 0); 2θ 44.45, I = 65.4, (2 2 4); 2θ 31.15, I = 47.1, (0 0 4); 2θ 34.44, I = 20.0, (2 1 3); 2θ 57.14, I = 18.4, (4 0 4); 2θ 41.80, I = 18.2, (0 4 0); 2θ 46.62, I = 16.7, (4 0 0); 2θ 53.04, I = 16.0, (0 4 4); 2θ 25.80, I = 15.4, (0 2 2); 2θ 26.26, I = 15.3, (2 1 1); 2θ 73.26, I = 12.0, (4 4 4); 2θ 39.13, I = 11.2, (0 3 3)

Structural model:
Unit cell a=7.793 b=8.644 c=11.484 alpha=90.00 beta=90.00 gamma=90.00
Space group Imma (No. 74)
Asymmetric unit:
1 Tl 0.000 0.000 0.000
2 Tl 0.250 0.250 0.250
3 Si 0.250 0.250 0.750
4 Ag 0.000 0.000 0.500
5 Se 0.000 0.048 0.743
6 Se 0.234 0.250 0.530

***

# 4
Computed powder X-ray diffraction pattern of Zr2InGa for Cu Kα X-rays, from a cell relaxed with GGA-PBE.
Intensities are scaled so that the largest is 100.

The 12 most intense peaks (2θ = 10–90°), most intense first:
2θ 35.11, I = 100.0, (0 2 2); 2θ 36.37, I = 87.2, (1 2 0); 2θ 40.65, I = 61.6, (1 0 2); 2θ 60.82, I = 30.3, (1 4 2); 2θ 43.22, I = 23.4, (0 4 0); 2θ 71.95, I = 23.2, (2 2 2); 2θ 69.62, I = 18.1, (1 2 4); 2θ 60.54, I = 9.9, (2 0 0); 2θ 34.16, I = 8.8, (1 1 1); 2θ 57.11, I = 8.8, (0 0 4); 2θ 62.40, I = 8.7, (1 3 3); 2θ 77.25, I = 8.0, (2 4 0)

Structural model:
Unit cell a=3.059 b=8.373 c=6.451 alpha=90.00 beta=90.00 gamma=90.00
Space group Amm2 (No. 38)
Asymmetric unit:
1 Zr 0.000 0.227 0.000
2 In 0.500 0.000 0.287
3 Ga 0.500 0.000 0.728

***

# 5
Computed powder X-ray diffraction pattern of ScZn3Cd9 for Cu Kα X-rays, from a cell relaxed with GGA-PBE.
Intensities are scaled so that the largest is 100.

The 12 most intense peaks (2θ = 10–90°), most intense first:
2θ 37.28, I = 100.0, (0 4 2); 2θ 37.02, I = 78.4, (1 5 0); 2θ 41.12, I = 63.1, (2 4 -1); 2θ 41.90, I = 57.6, (0 2 3); 2θ 36.34, I = 37.2, (2 2 0); 2θ 41.31, I = 36.7, (2 0 -3); 2θ 31.18, I = 36.7, (2 0 -1); 2θ 32.00, I = 33.9, (1 3 -2); 2θ 41.80, I = 32.2, (1 3 -3); 2θ 36.55, I = 32.1, (2 2 -2); 2θ 40.94, I = 31.7, (2 0 1); 2θ 41.62, I = 30.1, (1 5 1)

Structural model:
Unit cell a=5.738 b=13.641 c=7.373 alpha=90.00 beta=112.40 gamma=90.00
Space group C2/m (No. 12)
Asymmetric unit:
1 Sc 0.000 0.000 0.000
2 Zn 0.000 0.500 0.500
3 Zn 0.250 0.250 0.000
4 Cd 0.000 0.000 0.500
5 Cd 0.095 0.391 0.212
6 Cd 0.171 0.174 0.338

***

# 6
Computed powder X-ray diffraction pattern of Zr5NO2 for Cu Kα X-rays, from a cell relaxed with GGA-PBE.
Intensities are scaled so that the largest is 100.

The 12 most intense peaks (2θ = 10–90°), most intense first:
2θ 35.99, I = 100.0, (1 1 -3); 2θ 35.78, I = 52.1, (3 1 1); 2θ 34.21, I = 31.4, (4 0 -2); 2θ 47.24, I = 21.6, (4 2 -2); 2θ 56.11, I = 20.9, (1 3 2); 2θ 62.48, I = 19.0, (5 1 -5); 2θ 31.39, I = 14.5, (1 1 2); 2θ 67.28, I = 12.9, (2 0 -6); 2θ 55.76, I = 10.7, (2 0 4); 2θ 46.97, I = 10.4, (5 1 0); 2θ 62.17, I = 9.9, (7 1 -1); 2θ 67.50, I = 8.5, (3 3 -4)

Structural model:
Unit cell a=11.009 b=5.667 c=8.398 alpha=90.00 beta=110.83 gamma=90.00
Space group C2/c (No. 15)
Asymmetric unit:
1 Zr 0.000 0.168 0.250
2 Zr 0.098 0.324 0.946
3 Zr 0.202 0.162 0.648
4 N 0.000 0.000 0.000
5 O 0.102 0.499 0.192

***

Repeat the fourth record exactly.
Computed powder X-ray diffraction pattern of Zr2InGa for Cu Kα X-rays, from a cell relaxed with GGA-PBE.
Intensities are scaled so that the largest is 100.

The 12 most intense peaks (2θ = 10–90°), most intense first:
2θ 35.11, I = 100.0, (0 2 2); 2θ 36.37, I = 87.2, (1 2 0); 2θ 40.65, I = 61.6, (1 0 2); 2θ 60.82, I = 30.3, (1 4 2); 2θ 43.22, I = 23.4, (0 4 0); 2θ 71.95, I = 23.2, (2 2 2); 2θ 69.62, I = 18.1, (1 2 4); 2θ 60.54, I = 9.9, (2 0 0); 2θ 34.16, I = 8.8, (1 1 1); 2θ 57.11, I = 8.8, (0 0 4); 2θ 62.40, I = 8.7, (1 3 3); 2θ 77.25, I = 8.0, (2 4 0)

Structural model:
Unit cell a=3.059 b=8.373 c=6.451 alpha=90.00 beta=90.00 gamma=90.00
Space group Amm2 (No. 38)
Asymmetric unit:
1 Zr 0.000 0.227 0.000
2 In 0.500 0.000 0.287
3 Ga 0.500 0.000 0.728